Starting from a GGA-PBE-relaxed structure, the powder diffractogram of TcTe2Au was computed for Cu Kα (weighted mean of Kα1 and Kα2).

Structural model:
```
data_TcTe2Au
_chemical_formula_sum 'Tc1 Te2 Au1'
_space_group_name_H-M_alt 'P 1 2/m 1'
_space_group_IT_number 10
_cell_length_a 3.2082
_cell_length_b 3.2939
_cell_length_c 8.4021
_cell_angle_alpha 90.00
_cell_angle_beta 90.17
_cell_angle_gamma 90.00
loop_
_space_group_symop_operation_xyz
'x,y,z'
'-x,-y,-z'
'-x,y,-z'
'x,-y,z'
loop_
_atom_site_label
_atom_site_type_symbol
_atom_site_fract_x
_atom_site_fract_y
_atom_site_fract_z
Tc1 Tc 0.0000 0.0000 0.0000
Te1 Te 0.4988 0.5000 0.8000
Au1 Au 0.5000 0.0000 0.5000
```

The 12 most intense peaks (2θ = 15–90°), low angle first:
2theta	Rel. int.	(hkl)
27.81	42	1 0 0
29.12	19	0 1 1
29.81	29	1 0 1
31.96	22	0 0 3
34.60	100	0 1 2
40.70	72	1 1 -1
42.80	28	1 0 -3
42.93	27	1 0 3
44.96	35	1 1 2
69.19	16	1 1 -5
69.35	16	1 1 5
72.86	23	1 2 -3